# LiPr3Dy2Te6
Simulated powder diffraction line list, CuKα. Input: DFT lattice parameters and positions (GGA-PBE).
No peak broadening, texture or thermal motion is included.

Crystal structure
```
data_LiPr3Dy2Te6
_chemical_formula_sum 'Li2 Pr6 Dy4 Te12'
_symmetry_space_group_name_H-M 'C 1 2/m 1'
_symmetry_Int_Tables_number 12
_cell_length_a 19.3608
_cell_length_b 4.4193
_cell_length_c 8.8885
_cell_angle_alpha 90.00
_cell_angle_beta 103.88
_cell_angle_gamma 90.00
loop_
_symmetry_equiv_pos_as_xyz
'x,y,z'
'-x,-y,-z'
'-x,y,-z'
'x,-y,z'
'x+1/2,y+1/2,z'
'-x+1/2,-y+1/2,-z'
'-x+1/2,y+1/2,-z'
'x+1/2,-y+1/2,z'
loop_
_atom_site_label
_atom_site_fract_x
_atom_site_fract_y
_atom_site_fract_z
Li1 0.0000 0.0000 0.0000
Pr1 0.0000 0.0000 0.5000
Pr2 0.1664 0.5000 0.8301
Dy1 0.1660 0.5000 0.3358
Te1 0.0031 0.5000 0.2348
Te2 0.1605 0.0000 0.0891
Te3 0.1695 0.0000 0.5761
```

Principal peaks in the range 2θ = 10–80°, by angle:
2θ 28.5, 3.133 Å, I 1000, (6 0 0)
2θ 40.6, 2.223 Å, I 374, (7 1 -2)
2θ 40.9, 2.208 Å, I 381, (0 2 0)
2θ 50.1, 1.821 Å, I 66, (8 0 -4)
2θ 50.6, 1.805 Å, I 203, (6 2 0)
2θ 59.0, 1.567 Å, I 124, (2 2 -4)
2θ 66.5, 1.405 Å, I 161, (8 2 -4)
2θ 67.0, 1.397 Å, I 173, (1 3 -2)
2θ 73.6, 1.287 Å, I 56, (14 0 -4)
2θ 74.2, 1.278 Å, I 83, (7 3 -2)
2θ 74.3, 1.277 Å, I 41, (3 1 6)
2θ 74.4, 1.275 Å, I 64, (5 3 2)